Structure and simulated powder X-ray diffraction pattern of Sc2Co5B2Os (a PBE-relaxed structure; Cu Kα).
No peak broadening, texture or thermal motion is included.

Most intense lines, 5° ≤ 2θ ≤ 70°, by angle:
hkl 1 1 0, d = 6.254 Å, 14.16 deg, rel. 61
hkl 2 0 0, d = 4.422 Å, 20.08 deg, rel. 43
hkl 1 1 1, d = 2.661 Å, 33.68 deg, rel. 35
hkl 2 2 1, d = 2.143 Å, 42.16 deg, rel. 79
hkl 3 1 1, d = 2.027 Å, 44.72 deg, rel. 100
hkl 4 2 0, d = 1.978 Å, 45.88 deg, rel. 48

Cell and atoms:
```
data_Sc2Co5B2Os
_chemical_formula_sum 'Sc4 Co10 B4 Os2'
_cell_length_a 8.8448
_cell_length_b 8.8448
_cell_length_c 2.9403
_cell_angle_alpha 90.00
_cell_angle_beta 90.00
_cell_angle_gamma 90.00
_space_group_name_H-M_alt 'P 1'
_space_group_IT_number 1
_space_group_name_Hall 'P 1'
loop_
_atom_site_label
_atom_site_fract_x
_atom_site_fract_y
_atom_site_fract_z
Sc1 0.1780 0.3220 0.0000
Sc2 0.3220 0.8220 0.0000
Sc3 0.6780 0.1780 0.0000
Sc4 0.8220 0.6780 0.0000
Co1 0.0000 0.5000 0.5000
Co2 0.0680 0.7740 0.5000
Co3 0.2260 0.0680 0.5000
Co4 0.2740 0.5680 0.5000
Co5 0.4320 0.2740 0.5000
Co6 0.5000 0.0000 0.5000
Co7 0.5680 0.7260 0.5000
Co8 0.7260 0.4320 0.5000
Co9 0.7740 0.9320 0.5000
Co10 0.9320 0.2260 0.5000
B1 0.1168 0.6168 0.0000
B2 0.3832 0.1168 0.0000
B3 0.6168 0.8832 0.0000
B4 0.8832 0.3832 0.0000
Os1 0.0000 0.0000 0.0000
Os2 0.5000 0.5000 0.0000
```